# BaTmCd
Calculated powder XRD pattern, Cu Kα (λ = 1.5418 Å). Input: a DFT-relaxed cell (PBE, Alexandria).
Neutral-atom scattering factors, no anomalous dispersion.

The 10 most intense peaks (10 to 90 degrees two-theta), sorted by position:
2θ (°)	I/Imax	hkl
12.89	13.4	0 0 2
25.94	14.2	0 0 4
29.91	100.0	1 0 3
32.11	56.2	1 1 0
40.00	13.0	1 0 5
41.74	16.0	1 1 4
46.05	20.4	2 0 0
52.06	18.3	1 0 7
55.89	33.8	2 1 3
72.01	13.9	2 1 7

Cell and atoms:
Lattice parameters (Å, degrees): 3.942 3.942 13.737 90.00 90.00 90.00
Space group I4mm (No. 107)
One atom of each set of equivalent atoms:
Ba 0.000 0.000 0.000
Tm 0.000 0.000 0.282
Cd 0.000 0.000 0.679